Theoretical powder XRD pattern
Compound: MnSbO4
Radiation: Cu Kα, 1.54184 Å
Structure: a GGA+U-relaxed structure
Intensities are scaled so that the largest is 100.

Largest 6 diffraction maxima, by intensity, 10 to 90 degrees two-theta:
Position (°2θ)  I_rel  index
24.1  100  1 0 1
45.5  23  1 0 3
52.1  22  0 4 0
36.7  22  1 2 0
35.5  16  1 2 -2
51.9  16  2 0 -4

Atomic structure:
Lattice parameters (Å, degrees): 5.6659 7.9832 7.9917 104.48 100.50 110.60
Space group P1 (No. 1)
Unique sites:
Mn 0.0000 0.0000 0.0000
Mn 0.0404 0.5047 0.9851
Mn 0.5010 0.7521 0.5009
Mn 0.5432 0.2543 0.4884
Sb 0.1387 0.9423 0.6207
Sb 0.1547 0.4381 0.6155
Sb 0.6417 0.1916 0.1138
Sb 0.6522 0.6900 0.1231
O 0.1974 0.6980 0.6010
O 0.2233 0.2030 0.5911
O 0.3295 0.0599 0.8935
O 0.3335 0.6313 0.2061
O 0.3413 0.5514 0.8857
O 0.3573 0.1495 0.2309
O 0.4383 0.9766 0.5188
O 0.4536 0.5048 0.5173
O 0.6966 0.9488 0.1014
O 0.7250 0.4544 0.0945
O 0.8240 0.8040 0.3898
O 0.8416 0.3053 0.3877
O 0.8445 0.8957 0.7195
O 0.8515 0.3861 0.7170
O 0.9460 0.2283 0.0190
O 0.9476 0.7532 0.0186